(1)
This entry pairs a crystal structure of Nd4Tm3 with its calculated powder diffractogram. Radiation: copper Kα. Structure: the GGA-PBE geometry in Alexandria.
Neutral-atom scattering factors, no anomalous dispersion.

Atomic structure:
```
data_Nd4Tm3
_cell_length_a 13.0057
_cell_length_b 13.0057
_cell_length_c 13.0057
_cell_angle_alpha 164.05
_cell_angle_beta 157.58
_cell_angle_gamma 27.64
_symmetry_space_group_name_H-M 'P 1'
_symmetry_Int_Tables_number 1
_symmetry_space_group_name_Hall 'P 1'
loop_
_atom_site_label
_atom_site_type_symbol
_atom_site_fract_x
_atom_site_fract_y
_atom_site_fract_z
_atom_site_occupancy
Nd1 Nd 0.0706 0.0706 0.0000 1
Nd2 Nd 0.2130 0.2130 0.0000 1
Nd3 Nd 0.7870 0.7870 0.0000 1
Nd4 Nd 0.9294 0.9294 0.0000 1
Tm1 Tm 0.3578 0.3578 0.0000 1
Tm2 Tm 0.5000 0.5000 0.0000 1
Tm3 Tm 0.6422 0.6422 0.0000 1
```

Most intense lines, 2θ = 5–70°, in order of falling intensity:
| 2theta | Rel. int. |
| --- | --- |
| 30.43 | 100 |
| 35.17 | 34 |
| 60.19 | 29 |
| 50.84 | 24 |
| 35.50 | 17 |
| 60.63 | 14 |
| 63.32 | 12 |
| 50.59 | 12 |



(2)
This entry pairs a crystal structure of PrIn6Ag6 with its calculated powder diffractogram. Radiation: copper Kα. Structure: the GGA-PBE geometry in Alexandria.
Neutral-atom scattering factors, no anomalous dispersion.

Atomic structure:
```
data_PrIn6Ag6
_cell_length_a 7.5315
_cell_length_b 7.5315
_cell_length_c 7.5315
_cell_angle_alpha 134.19
_cell_angle_beta 99.33
_cell_angle_gamma 98.10
_symmetry_space_group_name_H-M 'P 1'
_symmetry_Int_Tables_number 1
_symmetry_space_group_name_Hall 'P 1'
loop_
_atom_site_label
_atom_site_type_symbol
_atom_site_fract_x
_atom_site_fract_y
_atom_site_fract_z
_atom_site_occupancy
Pr1 Pr 0.0000 0.0000 0.0000 1
In1 In 0.1881 0.6881 0.5000 1
In2 In 0.3452 0.0000 0.3452 1
In3 In 0.3452 0.3452 0.0000 1
In4 In 0.6548 0.0000 0.6548 1
In5 In 0.6548 0.6548 0.0000 1
In6 In 0.8119 0.3119 0.5000 1
Ag1 Ag 0.0000 0.0000 0.5000 1
Ag2 Ag 0.0000 0.5000 0.0000 1
Ag3 Ag 0.2316 0.5000 0.7316 1
Ag4 Ag 0.5000 0.0000 0.0000 1
Ag5 Ag 0.5000 0.5000 0.5000 1
Ag6 Ag 0.7684 0.5000 0.2684 1
```

Most intense lines, 2θ = 5–70°, in order of falling intensity:
| 2theta | Rel. int. |
| --- | --- |
| 36.35 | 100 |
| 40.28 | 78 |
| 35.62 | 47 |
| 35.74 | 42 |
| 36.88 | 40 |
| 36.48 | 39 |
| 31.17 | 37 |
| 40.99 | 30 |
| 65.00 | 24 |
| 66.08 | 22 |



(3)
This entry pairs a crystal structure of Pm8Tl2Ni with its calculated powder diffractogram. Radiation: copper Kα. Structure: the GGA-PBE geometry in Alexandria.
Neutral-atom scattering factors, no anomalous dispersion.

Atomic structure:
```
data_Pm8Tl2Ni
_cell_length_a 9.8976
_cell_length_b 9.8976
_cell_length_c 6.9456
_cell_angle_alpha 102.29
_cell_angle_beta 102.29
_cell_angle_gamma 30.09
_symmetry_space_group_name_H-M 'P 1'
_symmetry_Int_Tables_number 1
_symmetry_space_group_name_Hall 'P 1'
loop_
_atom_site_label
_atom_site_type_symbol
_atom_site_fract_x
_atom_site_fract_y
_atom_site_fract_z
_atom_site_occupancy
Pm1 Pm 0.0136 0.0136 0.2788 1
Pm2 Pm 0.2096 0.2096 0.8132 1
Pm3 Pm 0.3557 0.3557 0.5110 1
Pm4 Pm 0.4100 0.4100 0.0357 1
Pm5 Pm 0.5900 0.5900 0.9643 1
Pm6 Pm 0.6443 0.6443 0.4890 1
Pm7 Pm 0.7904 0.7904 0.1868 1
Pm8 Pm 0.9864 0.9864 0.7212 1
Tl1 Tl 0.1840 0.1840 0.2566 1
Tl2 Tl 0.8160 0.8160 0.7434 1
Ni1 Ni 0.5000 0.5000 0.5000 1
```

Most intense lines, 2θ = 5–70°, in order of falling intensity:
| 2theta | Rel. int. |
| --- | --- |
| 29.60 | 100 |
| 31.10 | 78 |
| 34.93 | 64 |
| 32.90 | 37 |
| 32.27 | 34 |
| 37.76 | 28 |
| 34.61 | 24 |
| 62.14 | 21 |
| 27.64 | 20 |
| 36.16 | 18 |



Please write out number 1 again, unchanged.
This entry pairs a crystal structure of Nd4Tm3 with its calculated powder diffractogram. Radiation: copper Kα. Structure: the GGA-PBE geometry in Alexandria.
Neutral-atom scattering factors, no anomalous dispersion.

Atomic structure:
```
data_Nd4Tm3
_cell_length_a 13.0057
_cell_length_b 13.0057
_cell_length_c 13.0057
_cell_angle_alpha 164.05
_cell_angle_beta 157.58
_cell_angle_gamma 27.64
_symmetry_space_group_name_H-M 'P 1'
_symmetry_Int_Tables_number 1
_symmetry_space_group_name_Hall 'P 1'
loop_
_atom_site_label
_atom_site_type_symbol
_atom_site_fract_x
_atom_site_fract_y
_atom_site_fract_z
_atom_site_occupancy
Nd1 Nd 0.0706 0.0706 0.0000 1
Nd2 Nd 0.2130 0.2130 0.0000 1
Nd3 Nd 0.7870 0.7870 0.0000 1
Nd4 Nd 0.9294 0.9294 0.0000 1
Tm1 Tm 0.3578 0.3578 0.0000 1
Tm2 Tm 0.5000 0.5000 0.0000 1
Tm3 Tm 0.6422 0.6422 0.0000 1
```

Most intense lines, 2θ = 5–70°, in order of falling intensity:
| 2theta | Rel. int. |
| --- | --- |
| 30.43 | 100 |
| 35.17 | 34 |
| 60.19 | 29 |
| 50.84 | 24 |
| 35.50 | 17 |
| 60.63 | 14 |
| 63.32 | 12 |
| 50.59 | 12 |